1.
This entry pairs a crystal structure of Sr3Zn8 with its simulated powder diffractogram. Radiation: Cu Kα. Structure: a cell relaxed with GGA-PBE.
No peak broadening, texture or thermal motion is included.

Peak list (10 most intense, 2θ from 10° to 80°, low angle first)
2θ/deg  I/Imax
29.8  15
31.3  51
31.9  100
35.9  27
40.3  36
41.8  28
42.6  31
51.9  24
60.1  21
61.3  17

abc: 13.8997 13.8997 13.8997
angles: 162.44 161.46 25.64
Fractional positions:
1 Sr 0.0000 0.0000 0.0000
2 Sr 0.3503 0.8503 0.5000
3 Sr 0.6497 0.1497 0.5000
4 Zn 0.0986 0.5986 0.5000
5 Zn 0.1956 0.6956 0.5000
6 Zn 0.2508 0.2508 0.0000
7 Zn 0.4504 0.4504 0.0000
8 Zn 0.5496 0.5496 0.0000
9 Zn 0.7492 0.7492 0.0000
10 Zn 0.8044 0.3044 0.5000
11 Zn 0.9014 0.4014 0.5000



2.
This entry pairs a crystal structure of U3AgS6 with its simulated powder diffractogram. Radiation: Cu Kα. Structure: a cell relaxed with GGA-PBE.
No peak broadening, texture or thermal motion is included.

Peak list (10 most intense, 2θ from 10° to 80°, low angle first)
2θ/deg  I/Imax
17.3  28
25.7  100
26.1  67
26.2  27
35.7  18
38.1  39
39.1  22
43.4  39
50.1  21
52.0  35

abc: 8.3464 8.3464 6.5742
angles: 90.00 90.00 101.50
Fractional positions:
1 U 0.1024 0.8976 0.5000
2 U 0.2219 0.4225 0.3986
3 U 0.4225 0.2219 0.8986
4 U 0.5775 0.7781 0.3986
5 U 0.7781 0.5775 0.8986
6 U 0.8976 0.1024 0.0000
7 Ag 0.2993 0.7007 0.8654
8 Ag 0.7007 0.2993 0.3654
9 S 0.0426 0.5891 0.6540
10 S 0.1275 0.1971 0.7007
11 S 0.1971 0.1275 0.2007
12 S 0.2705 0.7295 0.2417
13 S 0.4109 0.9574 0.6540
14 S 0.4760 0.5240 0.6792
15 S 0.5240 0.4760 0.1792
16 S 0.5891 0.0426 0.1540
17 S 0.7295 0.2705 0.7417
18 S 0.8029 0.8725 0.7007
19 S 0.8725 0.8029 0.2007
20 S 0.9574 0.4109 0.1540



3.
This entry pairs a crystal structure of SiO2 with its simulated powder diffractogram. Radiation: Cu Kα. Structure: a cell relaxed with GGA-PBE.
No peak broadening, texture or thermal motion is included.

Peak list (10 most intense, 2θ from 10° to 80°, low angle first)
2θ/deg  I/Imax
13.7  67
18.8  100
21.8  22
23.3  57
30.5  63
31.0  17
33.6  14
39.1  17
46.3  16
46.6  15

abc: 9.4793 9.4793 9.4793
angles: 94.12 94.12 148.92
Fractional positions:
1 Si 0.0000 0.1548 0.1548
2 Si 0.0000 0.8452 0.8452
3 Si 0.0403 0.4394 0.0000
4 Si 0.1548 0.0000 0.1548
5 Si 0.4394 0.0403 0.0000
6 Si 0.5606 0.5606 0.6008
7 Si 0.8452 0.0000 0.8452
8 Si 0.9597 0.9597 0.3992
9 O 0.0299 0.8820 0.2982
10 O 0.0890 0.0890 0.8405
11 O 0.1180 0.4162 0.1480
12 O 0.2319 0.2319 0.5371
13 O 0.2485 0.2485 0.1595
14 O 0.2683 0.9701 0.8520
15 O 0.3052 0.7681 0.0000
16 O 0.4162 0.1180 0.1480
17 O 0.5838 0.7317 0.7018
18 O 0.6948 0.6948 0.4629
19 O 0.7317 0.5838 0.7018
20 O 0.7515 0.9110 0.0000
21 O 0.7681 0.3052 0.0000
22 O 0.8820 0.0299 0.2982
23 O 0.9110 0.7515 0.0000
24 O 0.9701 0.2683 0.8520